Calculated PXRD pattern of Th2SbP for Cu Ka, from a cell relaxed with GGA-PBE.
Intensities are scaled so that the largest is 100.

Top 10 peaks for 2θ = 10–90°, most intense first:
| 2theta | I_rel |
| --- | --- |
| 29.22 | 100 |
| 42.25 | 40 |
| 25.41 | 34 |
| 41.36 | 32 |
| 52.20 | 20 |
| 69.32 | 17 |
| 31.81 | 15 |
| 57.71 | 12 |
| 76.64 | 11 |
| 60.60 | 11 |

```
Th2SbP
1.0
4.2781 0.0000 0.0000
-2.1391 3.7050 0.0000
0.0000 0.0000 21.6173
Th Sb P
6 3 3
Direct
0.0000 0.0000 0.2384
0.0000 0.0000 0.7616
0.3333 0.6667 0.4283
0.3333 0.6667 0.9050
0.6667 0.3333 0.0950
0.6667 0.3333 0.5717
0.0000 0.0000 0.0000
0.3333 0.6667 0.6667
0.6667 0.3333 0.3333
0.0000 0.0000 0.5000
0.3333 0.6667 0.1667
0.6667 0.3333 0.8333
```

---

Calculated PXRD pattern of Th4Sb2P for Cu Ka, from a cell relaxed with GGA-PBE.
Intensities are scaled so that the largest is 100.

Top 10 peaks for 2θ = 10–90°, most intense first:
| 2theta | I_rel |
| --- | --- |
| 27.53 | 100 |
| 35.14 | 34 |
| 43.21 | 24 |
| 34.62 | 16 |
| 43.51 | 12 |
| 52.30 | 12 |
| 24.46 | 12 |
| 56.77 | 11 |
| 27.66 | 11 |
| 45.20 | 8 |

```
Th4Sb2P
1.0
16.1785 0.0000 0.0000
0.0000 4.1604 0.0000
-3.1714 0.0000 6.5420
Th Sb P
8 4 2
Direct
0.1032 0.0000 0.4335
0.1105 0.5000 0.9493
0.3895 0.0000 0.0507
0.3968 0.5000 0.5665
0.6032 0.5000 0.4335
0.6105 0.0000 0.9493
0.8895 0.5000 0.0507
0.8968 0.0000 0.5665
0.2460 0.5000 0.7377
0.2540 0.0000 0.2623
0.7460 0.0000 0.7377
0.7540 0.5000 0.2623
0.0000 0.0000 0.0000
0.5000 0.5000 0.0000
```